No. 1
Diffraction record for Sc2Os3. The XRD peak list is computed, not measured: it uses a cell relaxed with PBE and Cu Kα, 1.54184 Å.
Kinematic intensities with the Lorentz-polarization factor, no thermal factor.

Main lines, by angle (2θ from 10° to 90°):
d = 3.730 Å, I 526
d = 2.271 Å, I 1000
d = 2.234 Å, I 974
d = 1.615 Å, I 174
d = 1.592 Å, I 331
d = 1.318 Å, I 164
d = 1.297 Å, I 333
d = 1.290 Å, I 167
d = 1.135 Å, I 104
d = 1.117 Å, I 109

Structure:
Unit cell a=5.339 b=5.339 c=5.339 alpha=49.47 beta=49.47 gamma=49.47
Sites, in units of the cell vectors:
Sc 0.104 0.104 0.104
Sc 0.896 0.896 0.896
Os 0.306 0.306 0.306
Os 0.500 0.500 0.500
Os 0.694 0.694 0.694


No. 2
Diffraction record for Sc4Os. The XRD peak list is computed, not measured: it uses a cell relaxed with PBE and Cu Kα, 1.54184 Å.
Kinematic intensities with the Lorentz-polarization factor, no thermal factor.

Main lines, by angle (2θ from 10° to 90°):
d = 4.733 Å, I 686
d = 4.393 Å, I 547
d = 4.267 Å, I 508
d = 4.037 Å, I 429
d = 3.992 Å, I 439
d = 3.909 Å, I 259
d = 2.374 Å, I 440
d = 2.289 Å, I 377
d = 2.281 Å, I 493
d = 2.274 Å, I 1000

Structure:
Unit cell a=9.480 b=9.480 c=9.749 alpha=118.55 beta=118.55 gamma=87.70
Sites, in units of the cell vectors:
Sc 0.000 0.500 0.500
Sc 0.007 0.553 0.183
Sc 0.054 0.849 0.041
Sc 0.124 0.876 0.750
Sc 0.151 0.946 0.459
Sc 0.235 0.277 0.388
Sc 0.277 0.235 0.888
Sc 0.300 0.652 0.897
Sc 0.348 0.700 0.603
Sc 0.356 0.456 0.274
Sc 0.447 0.993 0.317
Sc 0.456 0.356 0.774
Sc 0.500 0.000 0.000
Sc 0.544 0.644 0.226
Sc 0.553 0.007 0.683
Sc 0.644 0.544 0.726
Sc 0.652 0.300 0.397
Sc 0.700 0.348 0.103
Sc 0.723 0.765 0.112
Sc 0.765 0.723 0.612
Sc 0.849 0.054 0.541
Sc 0.876 0.124 0.250
Sc 0.946 0.151 0.959
Sc 0.993 0.447 0.817
Os 0.115 0.265 0.599
Os 0.265 0.115 0.099
Os 0.276 0.724 0.250
Os 0.724 0.276 0.750
Os 0.735 0.885 0.901
Os 0.885 0.735 0.401


No. 3
Diffraction record for Sc5Os3. The XRD peak list is computed, not measured: it uses a cell relaxed with PBE and Cu Kα, 1.54184 Å.
Kinematic intensities with the Lorentz-polarization factor, no thermal factor.

Main lines, by angle (2θ from 10° to 90°):
d = 7.232 Å, I 314
d = 4.821 Å, I 372
d = 3.172 Å, I 420
d = 2.417 Å, I 1000
d = 2.299 Å, I 500
d = 2.075 Å, I 169
d = 1.937 Å, I 184
d = 1.625 Å, I 168
d = 1.421 Å, I 124
d = 1.349 Å, I 310

Structure:
Unit cell a=3.251 b=3.251 c=14.463 alpha=90.00 beta=90.00 gamma=90.00
Sites, in units of the cell vectors:
Sc 0.000 0.000 0.000
Sc 0.000 0.000 0.214
Sc 0.000 0.000 0.786
Sc 0.500 0.500 0.394
Sc 0.500 0.500 0.606
Os 0.000 0.000 0.500
Os 0.500 0.500 0.115
Os 0.500 0.500 0.885


No. 4
Diffraction record for Sc3Os2. The XRD peak list is computed, not measured: it uses a cell relaxed with PBE and Cu Kα, 1.54184 Å.
Kinematic intensities with the Lorentz-polarization factor, no thermal factor.

Main lines, by angle (2θ from 10° to 90°):
d = 5.488 Å, I 432
d = 3.936 Å, I 486
d = 3.198 Å, I 681
d = 2.272 Å, I 841
d = 2.251 Å, I 1000
d = 2.100 Å, I 226
d = 1.852 Å, I 156
d = 1.599 Å, I 341
d = 1.312 Å, I 142
d = 1.308 Å, I 345

Structure:
Unit cell a=4.545 b=4.545 c=5.488 alpha=90.00 beta=90.00 gamma=120.00
Sites, in units of the cell vectors:
Sc 0.000 0.000 0.000
Sc 0.333 0.667 0.348
Sc 0.667 0.333 0.652
Os 0.333 0.667 0.847
Os 0.667 0.333 0.153